The following is a calculated PXRD pattern of Li2Ge3Cl8. It was derived from a DFT-relaxed cell (PBE, Alexandria), using λ = 1.5418 Å (Cu Kα).
Lines closer than 0.1° are merged.

Structure:
```
Li2Ge3Cl8
1.0
7.8842 -3.2998 0.0000
7.8842 3.2998 0.0000
-3.8356 0.0000 14.5203
Li Ge Cl
4 6 16
Cartesian
2.5036 1.2992 4.9118
0.5858 -1.2992 12.1720
11.3469 1.2992 2.3484
9.4291 -1.2992 9.6085
1.9882 2.2710 13.8280
6.9253 2.4019 3.6301
8.0267 2.2710 7.9525
3.9060 -2.2710 6.5678
5.0075 -2.4019 10.8903
9.9445 -2.2710 0.6923
3.9904 2.6552 9.4741
4.8252 2.3498 5.4327
1.6789 0.9381 11.8290
6.0246 2.6552 12.3065
9.0253 2.3498 1.8275
4.1838 0.0195 0.8277
2.2660 -0.0195 8.0879
3.5967 -0.9381 4.5688
8.3360 0.9381 9.9515
9.6668 0.0195 6.4324
7.7489 -0.0195 13.6926
2.9074 -2.3498 12.6928
5.9082 -2.6552 2.2139
10.2539 -0.9381 2.6913
7.1075 -2.3498 9.0877
7.9424 -2.6552 5.0463
```

Peak list (10 most intense, 10 to 90 degrees two-theta, in order of rising 2θ)
| 2theta | d/Å | I_rel |
| --- | --- | --- |
| 14.63 | 6.057 | 100 |
| 15.27 | 5.803 | 27 |
| 18.91 | 4.693 | 54 |
| 23.41 | 3.799 | 33 |
| 24.68 | 3.607 | 26 |
| 27.35 | 3.261 | 37 |
| 29.95 | 2.983 | 27 |
| 36.56 | 2.458 | 26 |
| 43.72 | 2.070 | 25 |
| 47.97 | 1.897 | 34 |